Structure and simulated powder diffraction line list of VCdAs2O8 (a structure optimized by DFT (GGA+U); copper Kα).
Peak positions follow from Bragg's law for the DFT cell and can differ from measured ones.

Most intense lines, 5° ≤ 2θ ≤ 70°, by angle:
2theta	d [Å]	I_rel
25.8	3.458	100.0
34.7	2.589	60.8
36.8	2.445	17.6
51.4	1.778	56.6
53.0	1.729	15.3
59.8	1.546	11.7
64.8	1.438	17.8
67.0	1.396	11.8

Crystal structure
```
VCdAs2O8
1.0
-3.458 3.458 3.051
3.458 -3.458 3.051
3.458 3.458 -3.051
V Cd As O
1 1 2 8
Cartesian
0.000 0.000 0.000
0.000 3.458 1.526
3.458 0.000 1.526
0.000 0.000 3.051
2.109 0.000 0.449
4.807 0.000 0.449
3.458 2.260 -1.243
3.458 -1.349 2.603
0.000 1.198 1.808
3.458 1.349 2.603
2.260 3.458 1.243
1.198 0.000 4.295
```